1.
Starting from a GGA-PBE-relaxed structure, the powder diffractogram of Nb7As4 was calculated for a wavelength of 1.5418 Å.

Main lines, by angle (15 to 90 degrees two-theta):
| 2θ (°) | I_rel | (hkl) |
| --- | --- | --- |
| 34.1 | 56.8 | 3 1 -3 |
| 35.7 | 68.0 | 1 1 -4 |
| 37.9 | 90.7 | 1 1 4 |
| 38.6 | 62.9 | 6 0 -4 |
| 39.0 | 59.5 | 5 1 -2 |
| 39.1 | 100.0 | 3 1 3 |
| 39.4 | 66.9 | 5 1 0 |
| 40.4 | 31.9 | 4 0 -6 |
| 41.7 | 34.6 | 3 1 -5 |
| 51.6 | 63.0 | 0 2 0 |

Crystal structure
Cell: 15.517 3.540 14.304 Å, 90.00 104.84 90.00°
Space group C2/m (No. 12)
Unique sites:
Nb (0.000, 0.000, 0.000)
Nb (0.000, 0.500, 0.500)
Nb (0.001, 0.000, 0.662)
Nb (0.069, 0.500, 0.174)
Nb (0.164, 0.500, 0.970)
Nb (0.178, 0.000, 0.544)
Nb (0.196, 0.000, 0.309)
Nb (0.212, 0.000, 0.800)
As (0.064, 0.000, 0.848)
As (0.129, 0.500, 0.401)
As (0.129, 0.500, 0.666)
As (0.173, 0.000, 0.110)

=====

2.
Starting from a GGA-PBE-relaxed structure, the powder diffractogram of NbAs was calculated for a wavelength of 1.5418 Å.

Main lines, by angle (15 to 90 degrees two-theta):
| 2θ (°) | I_rel | (hkl) |
| --- | --- | --- |
| 26.7 | 14.5 | 1 0 1 |
| 30.4 | 18.9 | 0 0 4 |
| 34.5 | 47.9 | 1 0 3 |
| 39.7 | 100.0 | 1 1 2 |
| 46.6 | 37.8 | 1 0 5 |
| 52.6 | 28.6 | 2 0 0 |
| 61.3 | 16.9 | 1 0 7 |
| 64.4 | 15.0 | 2 1 3 |
| 72.9 | 19.4 | 2 1 5 |
| 85.0 | 13.4 | 2 1 7 |

Crystal structure
Cell: 3.479 3.479 11.749 Å, 90.00 90.00 90.00°
Space group I4_1md (No. 109)
Unique sites:
Nb (0.000, 0.000, 0.000)
As (0.000, 0.000, 0.418)

=====

3.
Starting from a GGA-PBE-relaxed structure, the powder diffractogram of NpNbAs3 was calculated for a wavelength of 1.5418 Å.

Main lines, by angle (15 to 90 degrees two-theta):
| 2θ (°) | I_rel | (hkl) |
| --- | --- | --- |
| 23.0 | 62.1 | 1 1 1 |
| 26.2 | 35.0 | 2 1 1 |
| 31.0 | 23.4 | 0 0 2 |
| 34.3 | 100.0 | 2 2 0 |
| 36.7 | 95.7 | 5 0 0 |
| 38.2 | 53.1 | 3 2 0 |
| 44.4 | 50.2 | 0 2 2 |
| 52.3 | 24.8 | 2 3 1 |
| 58.9 | 44.7 | 5 2 2 |
| 75.2 | 41.3 | 2 4 2 |

Crystal structure
Cell: 12.246 5.779 5.769 Å, 90.00 90.00 90.00°
Space group Pbcm (No. 57)
Unique sites:
Np (0.181, 0.011, 0.250)
Nb (0.416, 0.750, 0.000)
As (0.003, 0.750, 0.000)
As (0.263, 0.512, 0.250)
As (0.413, 0.128, 0.250)